Diffraction record for TbThSc. The X-ray powder pattern is theoretical, not measured: it uses a PBE-relaxed structure and Cu Kα (weighted mean of Kα1 and Kα2).

Structure:
a b c (Å): 5.5371 9.5875 6.7147
angles (deg): 90.00 90.00 90.00
Space group Pbam (No. 55)
Asymmetric unit:
Tb1 0.0077 0.1667 0.0000 [4 per cell]
Th1 0.0012 0.8334 0.5000 [4 per cell]
Sc1 0.0000 0.5000 0.2565 [4 per cell]

Principal peaks in the range 2θ from 10° to 90°, low angle first:
- 2θ 18.5, I 44
- 2θ 26.5, I 34
- 2θ 32.3, I 100
- 2θ 32.6, I 60
- 2θ 42.3, I 61
- 2θ 46.6, I 22
- 2θ 57.7, I 19
- 2θ 57.8, I 23
- 2θ 64.6, I 18
- 2θ 65.0, I 27